No. 1
Diffraction record for ScMo8. The powder XRD pattern is calculated, not measured: it uses a GGA-PBE-relaxed structure and λ = 1.5418 Å (Cu Kα).

Principal peaks in the range 2θ = 10–80°, low angle first:
- d = 5.624 Å, 15.8°, intensity 4
- d = 4.059 Å, 21.9°, intensity 2
- d = 2.360 Å, 38.1°, intensity 27
- d = 2.312 Å, 39.0°, intensity 100
- d = 1.875 Å, 48.6°, intensity 26
- d = 1.468 Å, 63.4°, intensity 23
- d = 1.353 Å, 69.5°, intensity 17
- d = 1.326 Å, 71.1°, intensity 8

```
data_ScMo8
_chemical_formula_sum 'Sc1 Mo8'
_space_group_name_H-M_alt 'P 1'
_space_group_IT_number 1
_cell_length_a 6.0990
_cell_length_b 6.0990
_cell_length_c 6.0990
_cell_angle_alpha 98.61
_cell_angle_beta 98.61
_cell_angle_gamma 134.46
loop_
_space_group_symop_operation_xyz
'x,y,z'
loop_
_atom_site_label
_atom_site_type_symbol
_atom_site_fract_x
_atom_site_fract_y
_atom_site_fract_z
Sc1 Sc 0.0000 0.0000 0.0000
Mo1 Mo 0.0000 0.3422 0.3422
Mo2 Mo 0.0000 0.6578 0.6578
Mo3 Mo 0.3301 0.3301 0.6603
Mo4 Mo 0.3301 0.6699 0.0000
Mo5 Mo 0.3422 0.0000 0.3422
Mo6 Mo 0.6578 0.0000 0.6578
Mo7 Mo 0.6699 0.3301 0.0000
Mo8 Mo 0.6699 0.6699 0.3397
```

No. 2
Diffraction record for Sc7Mo. The powder XRD pattern is calculated, not measured: it uses a GGA-PBE-relaxed structure and λ = 1.5418 Å (Cu Kα).

Principal peaks in the range 2θ = 10–80°, low angle first:
- d = 5.158 Å, 17.2°, intensity 9
- d = 4.467 Å, 19.9°, intensity 5
- d = 2.694 Å, 33.3°, intensity 6
- d = 2.579 Å, 34.8°, intensity 100
- d = 2.234 Å, 40.4°, intensity 48
- d = 1.579 Å, 58.4°, intensity 30
- d = 1.347 Å, 69.8°, intensity 33
- d = 1.290 Å, 73.4°, intensity 10

```
data_Sc7Mo
_chemical_formula_sum 'Sc7 Mo1'
_space_group_name_H-M_alt 'P 1'
_space_group_IT_number 1
_cell_length_a 6.3177
_cell_length_b 6.3177
_cell_length_c 6.3177
_cell_angle_alpha 60.00
_cell_angle_beta 60.00
_cell_angle_gamma 60.00
loop_
_space_group_symop_operation_xyz
'x,y,z'
loop_
_atom_site_label
_atom_site_type_symbol
_atom_site_fract_x
_atom_site_fract_y
_atom_site_fract_z
Sc1 Sc 0.0000 0.0000 0.0000
Sc2 Sc 0.0000 0.0000 0.5000
Sc3 Sc 0.0000 0.5000 0.0000
Sc4 Sc 0.0000 0.5000 0.5000
Sc5 Sc 0.5000 0.0000 0.0000
Sc6 Sc 0.5000 0.0000 0.5000
Sc7 Sc 0.5000 0.5000 0.0000
Mo1 Mo 0.5000 0.5000 0.5000
```

No. 3
Diffraction record for Sc4Mo3. The powder XRD pattern is calculated, not measured: it uses a GGA-PBE-relaxed structure and λ = 1.5418 Å (Cu Kα).

Principal peaks in the range 2θ = 10–80°, low angle first:
- d = 6.645 Å, 13.3°, intensity 59
- d = 2.471 Å, 36.4°, intensity 100
- d = 2.302 Å, 39.1°, intensity 49
- d = 2.175 Å, 41.5°, intensity 14
- d = 1.940 Å, 46.8°, intensity 26
- d = 1.628 Å, 56.5°, intensity 16
- d = 1.359 Å, 69.1°, intensity 28
- d = 1.247 Å, 76.4°, intensity 12

```
data_Sc4Mo3
_chemical_formula_sum 'Sc4 Mo3'
_space_group_name_H-M_alt 'P 1'
_space_group_IT_number 1
_cell_length_a 13.4879
_cell_length_b 13.4879
_cell_length_c 13.4879
_cell_angle_alpha 166.14
_cell_angle_beta 166.14
_cell_angle_gamma 19.65
loop_
_space_group_symop_operation_xyz
'x,y,z'
loop_
_atom_site_label
_atom_site_type_symbol
_atom_site_fract_x
_atom_site_fract_y
_atom_site_fract_z
Sc1 Sc 0.0614 0.0614 0.0000
Sc2 Sc 0.3423 0.3423 0.0000
Sc3 Sc 0.6577 0.6577 0.0000
Sc4 Sc 0.9386 0.9386 0.0000
Mo1 Mo 0.2237 0.2237 0.0000
Mo2 Mo 0.5000 0.5000 0.0000
Mo3 Mo 0.7763 0.7763 0.0000
```

No. 4
Diffraction record for ScMo. The powder XRD pattern is calculated, not measured: it uses a GGA-PBE-relaxed structure and λ = 1.5418 Å (Cu Kα).

Principal peaks in the range 2θ = 10–80°, low angle first:
- d = 7.541 Å, 11.7°, intensity 87
- d = 2.449 Å, 36.7°, intensity 100
- d = 2.278 Å, 39.6°, intensity 50
- d = 2.180 Å, 41.4°, intensity 16
- d = 1.982 Å, 45.8°, intensity 33
- d = 1.610 Å, 57.2°, intensity 16
- d = 1.346 Å, 69.9°, intensity 28
- d = 1.250 Å, 76.2°, intensity 14

```
data_ScMo
_chemical_formula_sum 'Sc2 Mo2'
_space_group_name_H-M_alt 'P 1'
_space_group_IT_number 1
_cell_length_a 3.2210
_cell_length_b 3.2210
_cell_length_c 7.5406
_cell_angle_alpha 90.00
_cell_angle_beta 90.00
_cell_angle_gamma 90.00
loop_
_space_group_symop_operation_xyz
'x,y,z'
loop_
_atom_site_label
_atom_site_type_symbol
_atom_site_fract_x
_atom_site_fract_y
_atom_site_fract_z
Sc1 Sc 0.2500 0.2500 0.1721
Sc2 Sc 0.7500 0.7500 0.8279
Mo1 Mo 0.2500 0.2500 0.5935
Mo2 Mo 0.7500 0.7500 0.4065
```